(1)
# SiTe2Rh
Computed powder X-ray diffraction pattern, Cu Kα X-rays. Input: a structure optimized by DFT (GGA-PBE).
No peak broadening, texture or thermal motion is included.

Structure:
Cell: 3.6883 3.7492 13.8869 Å, 90.00 90.00 90.00°
Space group Immm (No. 71)
Symmetry-distinct sites (fractional):
Si1 0.0000 0.0000 0.0000 (multiplicity 2)
Te1 0.0000 0.5000 0.3556 (multiplicity 4)
Rh1 0.0000 0.0000 0.5000 (multiplicity 2)

Most intense lines, 10° ≤ 2θ ≤ 80°, low angle first:
Position (°2θ)	intensity
12.7	26
25.0	92
30.7	95
36.5	48
43.2	100
59.3	29

(2)
# TmPa2TlO8
Computed powder X-ray diffraction pattern, Cu Kα X-rays. Input: a structure optimized by DFT (GGA-PBE).
No peak broadening, texture or thermal motion is included.

Structure:
Cell: 5.4049 5.4049 10.8890 Å, 90.00 90.00 90.00°
Space group I-4 (No. 82)
Symmetry-distinct sites (fractional):
Tm1 0.0000 0.0000 0.0000 (multiplicity 2)
Pa1 0.0000 0.0000 0.5000 (multiplicity 2)
Pa2 0.0000 0.5000 0.2500 (multiplicity 2)
Tl1 0.0000 0.5000 0.7500 (multiplicity 2)
O1 0.2177 0.7264 0.3925 (multiplicity 8)
O2 0.2408 0.7454 0.6374 (multiplicity 8)

Most intense lines, 10° ≤ 2θ ≤ 80°, low angle first:
Position (°2θ)	intensity
28.5	100
33.1	24
47.4	33
47.6	16
56.1	16
56.4	31

(3)
# Rb3Tl4Ga2
Computed powder X-ray diffraction pattern, Cu Kα X-rays. Input: a structure optimized by DFT (GGA-PBE).
No peak broadening, texture or thermal motion is included.

Structure:
Cell: 17.9970 10.4926 7.9106 Å, 90.00 112.77 90.00°
Space group C2/c (No. 15)
Symmetry-distinct sites (fractional):
Rb1 0.0000 0.0095 0.2500 (multiplicity 4)
Rb2 0.1060 0.3851 0.1062 (multiplicity 8)
Tl1 0.1268 0.2363 0.6247 (multiplicity 8)
Tl2 0.2172 0.1071 0.0488 (multiplicity 8)
Ga1 0.2295 0.1385 0.4216 (multiplicity 8)

Most intense lines, 10° ≤ 2θ ≤ 80°, low angle first:
Position (°2θ)	intensity
10.7	100
18.1	48
26.4	54
28.2	73
29.7	95
30.3	70

(4)
# Zn8Ag5
Computed powder X-ray diffraction pattern, Cu Kα X-rays. Input: a structure optimized by DFT (GGA-PBE).
No peak broadening, texture or thermal motion is included.

Structure:
Cell: 9.4228 9.4228 9.4228 Å, 90.00 90.00 90.00°
Space group I-43m (No. 217)
Symmetry-distinct sites (fractional):
Zn1 0.0287 0.3152 0.6848 (multiplicity 24)
Zn2 0.1113 0.1113 0.8887 (multiplicity 8)
Ag1 0.0000 0.0000 0.3533 (multiplicity 12)
Ag2 0.1789 0.1789 0.1789 (multiplicity 8)

Most intense lines, 10° ≤ 2θ ≤ 80°, low angle first:
Position (°2θ)	intensity
23.1	9
40.6	100
47.3	4
58.8	12
69.1	4
73.9	21

(5)
# La3Pm3Y8
Computed powder X-ray diffraction pattern, Cu Kα X-rays. Input: a structure optimized by DFT (GGA-PBE).
No peak broadening, texture or thermal motion is included.

Structure:
Cell: 5.7670 10.8462 15.4740 Å, 90.00 90.00 90.00°
Space group Immm (No. 71)
Symmetry-distinct sites (fractional):
La1 0.0000 0.0000 0.0000 (multiplicity 2)
La2 0.0000 0.5000 0.3141 (multiplicity 4)
Pm1 0.0000 0.0000 0.5000 (multiplicity 2)
Pm2 0.0000 0.3014 0.5000 (multiplicity 4)
Y1 0.0000 0.1615 0.2813 (multiplicity 8)
Y2 0.0000 0.3396 0.1019 (multiplicity 8)

Most intense lines, 10° ≤ 2θ ≤ 80°, low angle first:
Position (°2θ)	intensity
29.0	23
30.2	29
31.0	48
31.4	100
32.8	49
43.8	21

(6)
# Tb2Pm3Si4
Computed powder X-ray diffraction pattern, Cu Kα X-rays. Input: a structure optimized by DFT (GGA-PBE).
No peak broadening, texture or thermal motion is included.

Structure:
Cell: 7.7382 7.7989 7.6981 Å, 90.00 104.60 90.00°
Space group P2_1/c (No. 14)
Symmetry-distinct sites (fractional):
Tb1 0.2090 0.1885 0.1051 (multiplicity 4)
Pm1 0.2378 0.6829 0.2553 (multiplicity 4)
Pm2 0.5000 0.0000 0.5000 (multiplicity 2)
Si1 0.0866 0.5215 0.8906 (multiplicity 4)
Si2 0.4915 0.1164 0.8838 (multiplicity 4)

Most intense lines, 10° ≤ 2θ ≤ 80°, low angle first:
Position (°2θ)	intensity
25.8	31
26.4	20
29.2	21
31.5	63
33.2	100
36.6	21